[1]
Calculated powder X-ray diffraction pattern of SrGa2Rh2 for CuKα, from a crystal structure in the Materials Project, relaxed with GGA-PBE.
Neutral-atom scattering factors, no anomalous dispersion.

Structural model:
```
data_SrGa2Rh2
_chemical_formula_sum 'Sr8 Ga16 Rh16'
_space_group_name_H-M_alt 'F d d d'
_space_group_IT_number 70
_cell_length_a 5.8271
_cell_length_b 10.6159
_cell_length_c 13.5882
_cell_angle_alpha 90.00
_cell_angle_beta 90.00
_cell_angle_gamma 90.00
loop_
_space_group_symop_operation_xyz
'x,y,z'
'-x,-y,-z'
'-x+1/4,-y+1/4,z'
'x+1/4,y+1/4,-z'
'x,-y+1/4,-z+1/4'
'-x,y+1/4,z+1/4'
'-x+1/4,y,-z+1/4'
'x+1/4,-y,z+1/4'
'x,y+1/2,z+1/2'
'-x,-y+1/2,-z+1/2'
'-x+1/4,-y+3/4,z+1/2'
'x+1/4,y+3/4,-z+1/2'
'x,-y+3/4,-z+3/4'
'-x,y+3/4,z+3/4'
'-x+1/4,y+1/2,-z+3/4'
'x+1/4,-y+1/2,z+3/4'
'x+1/2,y,z+1/2'
'-x+1/2,-y,-z+1/2'
'-x+3/4,-y+1/4,z+1/2'
'x+3/4,y+1/4,-z+1/2'
'x+1/2,-y+1/4,-z+3/4'
'-x+1/2,y+1/4,z+3/4'
'-x+3/4,y,-z+3/4'
'x+3/4,-y,z+3/4'
'x+1/2,y+1/2,z'
'-x+1/2,-y+1/2,-z'
'-x+3/4,-y+3/4,z'
'x+3/4,y+3/4,-z'
'x+1/2,-y+3/4,-z+1/4'
'-x+1/2,y+3/4,z+1/4'
'-x+3/4,y+1/2,-z+1/4'
'x+3/4,-y+1/2,z+1/4'
loop_
_atom_site_label
_atom_site_fract_x
_atom_site_fract_y
_atom_site_fract_z
_atom_site_occupancy
Sr1 0.1250 0.1250 0.1250 1
Ga1 0.1250 0.3062 0.6250 1
Rh1 0.1250 0.1250 0.5089 1
```

The 12 most intense peaks (2θ from 10° to 90°), by angle:
| two_theta | I_rel | hkl |
| --- | --- | --- |
| 18.56 | 74 | 1 1 1 |
| 26.30 | 41 | 1 1 3 |
| 33.46 | 64 | 2 0 2 |
| 33.77 | 36 | 0 4 0 |
| 35.14 | 35 | 2 2 0 |
| 35.70 | 100 | 1 3 3 |
| 37.49 | 31 | 1 1 5 |
| 44.37 | 39 | 2 2 4 |
| 44.84 | 72 | 1 3 5 |
| 57.85 | 24 | 3 3 3 |
| 61.30 | 29 | 2 6 0 |
| 64.59 | 24 | 3 3 5 |

[2]
Calculated powder X-ray diffraction pattern of Dy2Te5O13 for CuKα, from a crystal structure in the Materials Project, relaxed with GGA-PBE.
Neutral-atom scattering factors, no anomalous dispersion.

Structural model:
```
data_Dy2Te5O13
_chemical_formula_sum 'Dy4 Te10 O26'
_space_group_name_H-M_alt 'P -1'
_space_group_IT_number 2
_space_group_name_Hall '-P 1'
_cell_length_a 7.0442
_cell_length_b 8.7770
_cell_length_c 10.7713
_cell_angle_alpha 89.48
_cell_angle_beta 87.39
_cell_angle_gamma 74.88
loop_
_atom_site_label
_atom_site_fract_x
_atom_site_fract_y
_atom_site_fract_z
_atom_site_occupancy
Dy1 0.0024 0.2617 0.2608 1
Dy2 0.4470 0.4731 0.3213 1
Te1 0.1202 0.3503 0.6100 1
Te2 0.1552 0.8029 0.1409 1
Te3 0.2740 0.3923 0.9881 1
Te4 0.2897 0.8758 0.4772 1
Te5 0.4365 0.9014 0.8014 1
O1 0.0465 0.3490 0.0663 1
O2 0.0588 0.8185 0.5381 1
O3 0.0623 0.0168 0.1872 1
O4 0.0659 0.2657 0.7778 1
O5 0.1237 0.4889 0.3921 1
O6 0.2357 0.4946 0.6883 1
O7 0.3137 0.7350 0.7850 1
O8 0.3277 0.7422 0.2737 1
O9 0.3297 0.2247 0.2765 1
O10 0.3382 0.5129 0.1183 1
O11 0.3466 0.9826 0.6255 1
O12 0.4631 0.1934 0.0199 1
O13 0.4647 0.6700 0.4991 1
```

The 12 most intense peaks (2θ from 10° to 90°), by angle:
| two_theta | I_rel | hkl |
| --- | --- | --- |
| 10.44 | 11 | 0 1 0 |
| 26.98 | 100 | 0 1 -3 |
| 27.27 | 59 | 2 1 -1 |
| 27.57 | 48 | 1 -2 0 |
| 30.49 | 34 | 2 0 2 |
| 31.80 | 25 | -1 1 3 |
| 32.22 | 24 | 1 3 -1 |
| 44.05 | 12 | 1 1 5 |
| 44.77 | 13 | 3 3 1 |
| 45.12 | 11 | 1 -3 3 |
| 45.20 | 15 | -3 1 1 |
| 45.69 | 12 | 2 2 -4 |

[3]
Calculated powder X-ray diffraction pattern of Li3IrF6 for CuKα, from a crystal structure in the Materials Project, relaxed with GGA-PBE.
Neutral-atom scattering factors, no anomalous dispersion.

Structural model:
```
data_Li3IrF6
_chemical_formula_sum 'Li3 Ir1 F6'
_space_group_name_H-M_alt 'P -1'
_space_group_IT_number 2
_space_group_name_Hall '-P 1'
_cell_length_a 4.7466
_cell_length_b 5.5528
_cell_length_c 5.8410
_cell_angle_alpha 63.29
_cell_angle_beta 73.56
_cell_angle_gamma 85.33
loop_
_atom_site_label
_atom_site_fract_x
_atom_site_fract_y
_atom_site_fract_z
_atom_site_occupancy
Li1 0.0000 0.0000 0.0000 1
Li2 0.0000 0.5000 0.0000 1
Li3 0.5000 0.0000 0.5000 1
Ir1 0.0000 0.5000 0.5000 1
F1 0.1474 0.7387 0.6308 1
F2 0.2288 0.6879 0.1042 1
F3 0.2724 0.2080 0.6599 1
```

The 12 most intense peaks (2θ from 10° to 90°), by angle:
| two_theta | I_rel | hkl |
| --- | --- | --- |
| 17.69 | 100 | 0 0 1 |
| 17.91 | 88 | 0 1 0 |
| 18.74 | 81 | 0 1 1 |
| 19.53 | 95 | 1 0 0 |
| 22.47 | 31 | 1 0 1 |
| 24.12 | 58 | 1 1 1 |
| 25.88 | 54 | 1 -1 0 |
| 27.33 | 25 | 1 1 0 |
| 29.97 | 44 | 1 0 -1 |
| 39.03 | 26 | 1 2 2 |
| 39.69 | 26 | 1 1 -1 |
| 45.91 | 25 | 1 0 -2 |

[4]
Calculated powder X-ray diffraction pattern of FeNi for CuKα, from a crystal structure in the Materials Project, relaxed with GGA-PBE.
Neutral-atom scattering factors, no anomalous dispersion.

Structural model:
```
data_FeNi
_chemical_formula_sum 'Fe1 Ni1'
_space_group_name_H-M_alt 'P 4/m m m'
_space_group_IT_number 123
_space_group_name_Hall '-P 4 2'
_cell_length_a 2.5066
_cell_length_b 2.5066
_cell_length_c 3.5813
_cell_angle_alpha 90.00
_cell_angle_beta 90.00
_cell_angle_gamma 90.00
loop_
_atom_site_label
_atom_site_fract_x
_atom_site_fract_y
_atom_site_fract_z
_atom_site_occupancy
Fe1 0.0000 0.0000 0.0000 1
Ni1 0.5000 0.5000 0.5000 1
```

The 5 most intense peaks (2θ from 10° to 90°), by angle:
| two_theta | I_rel | hkl |
| --- | --- | --- |
| 44.10 | 100 | 1 0 1 |
| 51.00 | 16 | 0 0 2 |
| 51.56 | 31 | 1 1 0 |
| 75.47 | 18 | 1 1 2 |
| 75.92 | 9 | 2 0 0 |

[5]
Calculated powder X-ray diffraction pattern of MgZn3Cu2H14S2O18 for CuKα, from a crystal structure in the Materials Project, relaxed with GGA-PBE.
Neutral-atom scattering factors, no anomalous dispersion.

Structural model:
```
data_MgZn3Cu2H14S2O18
_chemical_formula_sum 'Mg1 Zn3 Cu2 H14 S2 O18'
_space_group_name_H-M_alt 'P 1'
_space_group_IT_number 1
_space_group_name_Hall 'P 1'
_cell_length_a 5.4547
_cell_length_b 6.5145
_cell_length_c 12.0312
_cell_angle_alpha 80.14
_cell_angle_beta 82.13
_cell_angle_gamma 85.30
loop_
_atom_site_label
_atom_site_fract_x
_atom_site_fract_y
_atom_site_fract_z
_atom_site_occupancy
Mg1 0.0000 0.0000 0.0000 1
Zn1 0.4763 0.7446 0.3236 1
Zn2 0.8316 0.9125 0.7568 1
Zn3 0.9160 0.4033 0.7782 1
Cu1 0.3740 0.7309 0.8154 1
Cu2 0.4174 0.2221 0.8142 1
H1 0.0583 0.5563 0.4015 1
H2 0.0694 0.1703 0.6270 1
H3 0.1114 0.6882 0.6332 1
H4 0.1318 0.0286 0.3795 1
H5 0.2897 0.4165 0.4491 1
H6 0.3146 0.1331 0.2674 1
H7 0.4895 0.9215 0.9424 1
H8 0.5395 0.5178 0.6675 1
H9 0.7200 0.4014 0.3679 1
H10 0.7385 0.3498 0.9768 1
H11 0.7586 0.1294 0.1752 1
H12 0.7587 0.6924 0.9576 1
H13 0.8837 0.5117 0.2524 1
H14 0.9979 0.9988 0.2210 1
S1 0.3550 0.4948 0.1292 1
S2 0.6887 0.0316 0.5052 1
O1 0.0374 0.1571 0.7100 1
O2 0.0595 0.6717 0.7151 1
O3 0.0839 0.4753 0.1406 1
O4 0.2161 0.5611 0.4342 1
O5 0.2252 0.0020 0.3039 1
O6 0.3332 0.9630 0.9071 1
O7 0.4057 0.6953 0.1673 1
O8 0.4656 0.5035 0.0087 1
O9 0.4766 0.3129 0.2009 1
O10 0.5458 0.4843 0.7493 1
O11 0.5478 0.2276 0.4619 1
O12 0.6009 0.9647 0.6293 1
O13 0.6504 0.8607 0.4428 1
O14 0.7921 0.5355 0.3285 1
O15 0.8039 0.8353 0.9270 1
O16 0.8720 0.0044 0.1666 1
O17 0.8843 0.2814 0.9368 1
O18 0.9586 0.0696 0.4920 1
```

The 12 most intense peaks (2θ from 10° to 90°), by angle:
| two_theta | I_rel | hkl |
| --- | --- | --- |
| 15.07 | 100 | 0 0 2 |
| 16.80 | 23 | 0 1 -1 |
| 18.94 | 27 | 1 0 -1 |
| 22.15 | 32 | 1 -1 0 |
| 22.68 | 32 | 0 0 3 |
| 27.59 | 18 | 1 1 3 |
| 29.51 | 20 | 0 2 2 |
| 33.19 | 34 | 2 0 0 |
| 33.38 | 24 | 1 -2 0 |
| 34.12 | 18 | 1 2 -1 |
| 35.73 | 19 | -1 2 2 |
| 38.06 | 28 | 1 2 -2 |

[6]
Calculated powder X-ray diffraction pattern of K2WSe4 for CuKα, from a crystal structure in the Materials Project, relaxed with GGA-PBE.
Neutral-atom scattering factors, no anomalous dispersion.

Structural model:
```
data_K2WSe4
_chemical_formula_sum 'K8 W4 Se16'
_space_group_name_H-M_alt 'P n m a'
_space_group_IT_number 62
_space_group_name_Hall '-P 2ac 2n'
_cell_length_a 10.0138
_cell_length_b 7.2862
_cell_length_c 12.8811
_cell_angle_alpha 90.00
_cell_angle_beta 90.00
_cell_angle_gamma 90.00
loop_
_atom_site_label
_atom_site_fract_x
_atom_site_fract_y
_atom_site_fract_z
_atom_site_occupancy
K1 0.0486 0.2500 0.1553 1
K2 0.1527 0.7500 0.3867 1
W1 0.2473 0.7500 0.0669 1
Se1 0.0193 0.7500 0.1112 1
Se2 0.1488 0.5080 0.6372 1
Se3 0.2220 0.2500 0.3865 1
```

The 12 most intense peaks (2θ from 10° to 90°), by angle:
| two_theta | I_rel | hkl |
| --- | --- | --- |
| 16.36 | 40 | 1 0 2 |
| 16.55 | 100 | 1 1 1 |
| 17.71 | 24 | 2 0 0 |
| 24.06 | 21 | 0 1 3 |
| 24.43 | 19 | 0 2 0 |
| 27.66 | 50 | 0 0 4 |
| 30.27 | 35 | 3 1 1 |
| 31.14 | 22 | 2 2 1 |
| 33.46 | 18 | 2 2 2 |
| 38.81 | 20 | 1 3 1 |
| 43.88 | 20 | 4 2 0 |
| 50.12 | 27 | 0 4 0 |

[7]
Calculated powder X-ray diffraction pattern of SrSi for CuKα, from a crystal structure in the Materials Project, relaxed with GGA-PBE.
Neutral-atom scattering factors, no anomalous dispersion.

Structural model:
```
data_SrSi
_chemical_formula_sum 'Sr4 Si4'
_space_group_name_H-M_alt 'C m c m'
_space_group_IT_number 63
_space_group_name_Hall '-C 2c 2'
_cell_length_a 4.8300
_cell_length_b 11.3044
_cell_length_c 4.0776
_cell_angle_alpha 90.00
_cell_angle_beta 90.00
_cell_angle_gamma 90.00
loop_
_atom_site_label
_atom_site_fract_x
_atom_site_fract_y
_atom_site_fract_z
_atom_site_occupancy
Sr1 0.0000 0.1387 0.2500 1
Si1 0.0000 0.4365 0.2500 1
```

The 12 most intense peaks (2θ from 10° to 90°), by angle:
| two_theta | I_rel | hkl |
| --- | --- | --- |
| 19.99 | 18 | 1 1 0 |
| 26.96 | 45 | 0 2 1 |
| 29.74 | 100 | 1 1 1 |
| 30.08 | 59 | 1 3 0 |
| 31.66 | 24 | 0 4 0 |
| 37.23 | 30 | 2 0 0 |
| 37.45 | 43 | 1 3 1 |
| 44.43 | 18 | 0 0 2 |
| 46.57 | 20 | 2 2 1 |
| 54.59 | 21 | 1 3 2 |
| 59.32 | 15 | 2 0 2 |
| 78.03 | 15 | 1 7 2 |

[8]
Calculated powder X-ray diffraction pattern of SrCeI4 for CuKα, from a crystal structure in the Materials Project, relaxed with GGA-PBE.
Neutral-atom scattering factors, no anomalous dispersion.

Structural model:
```
data_SrCeI4
_chemical_formula_sum 'Sr4 Ce4 I16'
_space_group_name_H-M_alt 'C 1 2/c 1'
_space_group_IT_number 15
_space_group_name_Hall '-C 2yc'
_cell_length_a 10.3104
_cell_length_b 14.9848
_cell_length_c 7.4960
_cell_angle_alpha 90.00
_cell_angle_beta 124.49
_cell_angle_gamma 90.00
loop_
_atom_site_label
_atom_site_fract_x
_atom_site_fract_y
_atom_site_fract_z
_atom_site_occupancy
Sr1 0.0000 0.1350 0.2500 1
Ce1 0.0000 0.5001 0.2500 1
I1 0.1220 0.3236 0.5895 1
I2 0.1965 0.0625 0.7659 1
```

The 12 most intense peaks (2θ from 10° to 90°), by angle:
| two_theta | I_rel | hkl |
| --- | --- | --- |
| 11.81 | 55 | 0 2 0 |
| 26.83 | 96 | 3 1 -1 |
| 27.85 | 100 | 0 4 1 |
| 28.88 | 75 | 0 0 2 |
| 29.59 | 68 | 2 4 -1 |
| 30.39 | 77 | 1 3 -2 |
| 31.32 | 62 | 0 2 2 |
| 31.66 | 53 | 1 5 0 |
| 33.54 | 60 | 3 3 -2 |
| 33.84 | 63 | 2 2 1 |
| 36.47 | 64 | 3 3 0 |
| 41.99 | 39 | 2 6 0 |

> What is the formula in the sixth record?

K2WSe4